No. 1
Starting from the PBE geometry in Alexandria, the X-ray powder pattern of Sr4RuSe was calculated for Cu Kα (λ = 1.5418 Å).

abc: 6.6013 6.6013 6.6013
angles: 60.00 60.00 60.00
Fractional coordinates of all 6 atoms:
Sr (0.1243, 0.1243, 0.1243)
Sr (0.1243, 0.1243, 0.6270)
Sr (0.1243, 0.6270, 0.1243)
Sr (0.6270, 0.1243, 0.1243)
Ru (0.7500, 0.7500, 0.7500)
Se (0.5000, 0.5000, 0.5000)

Top 8 peaks for 2θ from 10° to 90°, low angle first:
| 2theta | Rel. int. |
| --- | --- |
| 27.01 | 27 |
| 31.79 | 100 |
| 33.24 | 39 |
| 50.82 | 35 |
| 55.70 | 30 |
| 65.57 | 12 |
| 66.43 | 16 |
| 78.74 | 22 |

No. 2
Starting from the PBE geometry in Alexandria, the X-ray powder pattern of Pr3Hg was calculated for Cu Kα (λ = 1.5418 Å).

abc: 5.6116 5.6116 5.6116
angles: 60.00 60.00 60.00
Fractional coordinates of all 4 atoms:
Pr (0.0000, 0.0000, 0.0000)
Pr (0.2500, 0.2500, 0.2500)
Pr (0.7500, 0.7500, 0.7500)
Hg (0.5000, 0.5000, 0.5000)

Top 8 peaks for 2θ from 10° to 90°, low angle first:
| 2theta | Rel. int. |
| --- | --- |
| 19.37 | 2 |
| 31.90 | 100 |
| 37.59 | 1 |
| 45.73 | 19 |
| 56.84 | 39 |
| 66.67 | 12 |
| 75.81 | 17 |
| 84.60 | 4 |